(1)
Calculated PXRD pattern
Compound: CrTeHRhAu2
Radiation: Cu Kα (λ = 1.5418 Å)
Structure: a crystal structure in Alexandria, relaxed with PBE
No peak broadening, texture or thermal motion is included.

Structure:
```
CrTeHRhAu2
1.0
10.776 0.000 0.000
0.000 3.095 0.000
-0.706 0.000 5.940
Cr Te H Rh Au
2 2 2 2 4
Direct
0.000 0.000 0.000
0.500 0.500 0.000
0.320 0.000 0.751
0.820 0.500 0.751
0.089 0.500 0.748
0.589 0.000 0.748
0.085 0.000 0.607
0.585 0.500 0.607
0.176 0.500 0.245
0.405 0.000 0.326
0.676 0.000 0.245
0.905 0.500 0.326
```

Peak list (10 most intense, 2θ = 10–80°, in order of falling intensity)
d (Å)	two_theta	Rel. int.
2.338	38.5	100
2.624	34.2	55
5.940	14.9	44
2.971	30.1	41
2.738	32.7	37
2.068	43.8	27
2.235	40.4	24
2.137	42.3	17
2.555	35.1	16
2.117	42.7	15



(2)
Calculated PXRD pattern
Compound: La6NdIr4
Radiation: Cu Kα (λ = 1.5418 Å)
Structure: a crystal structure in Alexandria, relaxed with PBE
No peak broadening, texture or thermal motion is included.

Structure:
```
La6NdIr4
1.0
6.183 0.000 0.000
0.003 6.205 0.000
2.202 3.099 8.093
La Nd Ir
6 1 4
Direct
0.000 0.000 0.000
0.036 0.379 0.340
0.073 0.660 0.679
0.469 0.496 0.962
0.536 0.057 0.340
0.604 0.119 0.717
0.536 0.552 0.340
0.159 0.184 0.630
0.470 0.945 0.064
0.604 0.671 0.614
0.914 0.475 0.050
```

Peak list (10 most intense, 2θ = 10–80°, in order of falling intensity)
d (Å)	two_theta	Rel. int.
2.183	41.4	100
3.102	28.8	89
2.698	33.2	83
2.983	30.0	79
2.462	36.5	72
2.897	30.9	56
3.974	22.4	54
2.328	38.7	52
2.219	40.7	46
2.588	34.7	44



(3)
Calculated PXRD pattern
Compound: Sr6S5
Radiation: Cu Kα (λ = 1.5418 Å)
Structure: a crystal structure in Alexandria, relaxed with PBE
No peak broadening, texture or thermal motion is included.

Structure:
```
Sr6S5
1.0
3.715 -6.432 0.000
3.715 6.432 0.000
-2.481 0.000 7.006
Sr S
6 5
Direct
0.083 0.417 0.750
0.250 0.250 0.249
0.417 0.083 0.750
0.583 0.917 0.250
0.750 0.750 0.751
0.917 0.583 0.250
0.167 0.833 0.000
0.334 0.666 0.500
0.500 0.500 0.000
0.666 0.334 0.500
0.833 0.167 0.000
```

Peak list (10 most intense, 2θ = 10–80°, in order of falling intensity)
d (Å)	two_theta	Rel. int.
3.033	29.4	100
2.145	42.1	72
3.502	25.4	50
1.356	69.3	32
1.829	49.9	26
1.751	52.2	25
1.238	77.0	24
1.516	61.1	12
1.392	67.3	11
6.151	14.4	1



(4)
Calculated PXRD pattern
Compound: Y4Sb5O
Radiation: Cu Kα (λ = 1.5418 Å)
Structure: a crystal structure in Alexandria, relaxed with PBE
No peak broadening, texture or thermal motion is included.

Structure:
```
Y4Sb5O
1.0
9.026 -1.756 0.000
9.026 1.756 0.000
-0.275 0.000 8.684
Y Sb O
4 5 1
Direct
0.017 0.017 0.315
0.345 0.345 0.419
0.655 0.655 0.581
0.983 0.983 0.685
0.137 0.137 0.880
0.184 0.184 0.290
0.500 0.500 0.000
0.816 0.816 0.710
0.863 0.863 0.120
0.500 0.500 0.500
```

Peak list (10 most intense, 2θ = 10–80°, in order of falling intensity)
d (Å)	two_theta	Rel. int.
2.708	33.1	100
2.876	31.1	57
3.007	29.7	55
2.157	41.9	51
2.731	32.8	35
2.471	36.4	35
2.033	44.6	22
2.814	31.8	20
3.865	23.0	20
1.756	52.1	20